# MgSe
Computed X-ray powder pattern, Cu Ka. Input: a crystal structure in the Materials Project, relaxed with PBE.
Peak positions follow from Bragg's law for the DFT cell and can differ from measured ones.

Peak list (6 most intense, 5 to 70 degrees two-theta, low angle first)
d (Å)  I_rel  (hkl)
3.182  51  1 1 1
2.755  100  2 0 0
1.948  71  2 2 0
1.662  23  3 1 1
1.591  24  2 2 2
1.378  11  4 0 0

Crystal structure
```
8
Lattice="5.511 0.000 0.000 0.000 5.511 0.000 0.000 0.000 5.511" Properties=species:S:1:pos:R:3 pbc="T T T"
Mg 0.000 0.000 0.000
Mg 0.000 2.755 2.755
Mg 2.755 0.000 2.755
Mg 2.755 2.755 0.000
Se 0.000 0.000 2.755
Se 0.000 2.755 0.000
Se 2.755 0.000 0.000
Se 2.755 2.755 2.755
```